Computed powder XRD pattern
Compound: Dy6Sc2Zn
Radiation: Cu Kα (weighted mean of Kα1 and Kα2)
Structure: a PBE-relaxed structure
Peak positions follow from Bragg's law for the DFT cell and can differ from measured ones.

Top 8 peaks for 2θ from 10° to 80°, low angle first:
d = 3.370 Å, rel. 26, (1 2 1); d = 2.783 Å, rel. 100, (3 0 1); d = 2.738 Å, rel. 31, (2 3 0); d = 2.679 Å, rel. 40, (1 3 1); d = 2.609 Å, rel. 35, (0 0 2); d = 2.327 Å, rel. 18, (3 3 0); d = 1.889 Å, rel. 21, (2 3 2); d = 1.495 Å, rel. 19, (6 2 1)

Structure:
```
Dy6Sc2Zn
1.0
9.869 0.000 0.000
0.000 9.874 0.000
0.000 0.000 5.218
Dy Sc Zn
12 4 2
direct
0.040 0.188 0.000
0.122 0.621 0.500
0.188 0.959 0.500
0.312 0.459 0.000
0.378 0.121 0.000
0.460 0.688 0.500
0.540 0.312 0.500
0.622 0.879 0.000
0.688 0.541 0.000
0.812 0.041 0.500
0.878 0.379 0.500
0.960 0.812 0.000
0.212 0.287 0.500
0.288 0.787 0.000
0.712 0.213 0.000
0.788 0.713 0.500
0.000 0.500 0.000
0.500 0.000 0.500
```